Structure and calculated X-ray diffraction stick pattern of Cu3Pd13S7 (a PBE-relaxed structure; a wavelength of 1.5418 Å).
Kinematic intensities with the Lorentz-polarization factor, no thermal factor.

Largest 10 diffraction maxima, in order of rising 2θ, 2θ = 10–80°:
index, two_theta, Rel. int.
3 0 0, 24.2, 47
4 0 1, 34.5, 49
3 2 1, 37.3, 100
3 1 2, 37.4, 57
1 1 3, 37.6, 56
0 4 2, 40.1, 59
3 3 0, 42.5, 38
2 3 2, 42.6, 32
0 3 3, 42.8, 32
3 5 1, 59.8, 24

```
data_Cu3Pd13S7
_cell_length_a 12.7597
_cell_length_b 12.7597
_cell_length_c 7.7447
_cell_angle_alpha 90.00
_cell_angle_beta 90.00
_cell_angle_gamma 120.00
_space_group_name_H-M_alt 'R 3 m'
_space_group_IT_number 160
_space_group_name_Hall 'R 3 -2"'
loop_
_atom_site_label
_atom_site_fract_x
_atom_site_fract_y
_atom_site_fract_z
Cu1 0.0773 0.1546 0.0000
Pd1 0.0000 0.0000 0.3002
Pd2 0.0269 0.3917 0.4691
Pd3 0.0823 0.1645 0.5802
Pd4 0.1936 0.3873 0.1248
S1 0.0000 0.0000 0.7759
S2 0.9999 0.5000 0.0773
S3 0.2032 0.1016 0.1751
```

Structure and calculated X-ray diffraction stick pattern of LuMgSe3 (a PBE-relaxed structure; a wavelength of 1.5418 Å).
Kinematic intensities with the Lorentz-polarization factor, no thermal factor.

Largest 10 diffraction maxima, in order of rising 2θ, 2θ = 10–80°:
index, two_theta, Rel. int.
0 2 0, 14.7, 100
1 1 -1, 16.3, 80
1 3 0, 25.6, 44
1 3 -1, 26.6, 49
2 2 0, 29.7, 43
0 0 2, 32.3, 56
3 1 -1, 34.3, 59
1 3 -2, 35.9, 48
3 3 -2, 42.4, 29
0 6 0, 45.2, 61

```
data_LuMgSe3
_cell_length_a 8.074
_cell_length_b 12.044
_cell_length_c 6.439
_cell_angle_alpha 90.00
_cell_angle_beta 120.68
_cell_angle_gamma 90.00
_space_group_name_H-M_alt 'C 1 2/m 1'
_space_group_IT_number 12
_space_group_name_Hall '-C 2y'
loop_
_atom_site_label
_atom_site_fract_x
_atom_site_fract_y
_atom_site_fract_z
Lu1 0.218 0.000 0.228
Mg1 0.000 0.328 0.000
Se1 0.035 0.154 0.776
Se2 0.079 0.500 0.289
```

Structure and calculated X-ray diffraction stick pattern of Lu2GaNi2 (a PBE-relaxed structure; a wavelength of 1.5418 Å).
Kinematic intensities with the Lorentz-polarization factor, no thermal factor.

Largest 10 diffraction maxima, in order of rising 2θ, 2θ = 10–80°:
index, two_theta, Rel. int.
1 1 0, 27.4, 44
0 2 0, 33.8, 17
1 1 2, 35.4, 100
0 1 3, 37.5, 32
1 0 3, 40.0, 27
0 2 2, 40.8, 28
1 2 1, 42.1, 39
2 0 0, 43.9, 29
2 1 3, 59.1, 17
1 2 5, 72.3, 25

```
data_Lu2GaNi2
_cell_length_a 4.122
_cell_length_b 5.297
_cell_length_c 8.068
_cell_angle_alpha 90.00
_cell_angle_beta 90.00
_cell_angle_gamma 90.00
_space_group_name_H-M_alt 'I m m m'
_space_group_IT_number 71
_space_group_name_Hall '-I 2 2'
loop_
_atom_site_label
_atom_site_fract_x
_atom_site_fract_y
_atom_site_fract_z
Lu1 0.000 0.000 0.203
Ga1 0.000 0.500 0.000
Ni1 0.000 0.271 0.500
```

Structure and calculated X-ray diffraction stick pattern of CeRhPb (a PBE-relaxed structure; a wavelength of 1.5418 Å).
Kinematic intensities with the Lorentz-polarization factor, no thermal factor.

Largest 10 diffraction maxima, in order of rising 2θ, 2θ = 10–80°:
index, two_theta, Rel. int.
1 1 1, 32.1, 100
2 0 1, 34.9, 73
2 1 0, 35.7, 58
3 0 0, 40.7, 30
2 1 1, 42.3, 31
0 0 2, 44.6, 25
3 1 1, 54.7, 11
2 1 2, 58.4, 29
3 0 2, 62.0, 17
3 2 1, 65.3, 33

```
data_CeRhPb
_cell_length_a 7.6795
_cell_length_b 7.6795
_cell_length_c 4.0609
_cell_angle_alpha 90.00
_cell_angle_beta 90.00
_cell_angle_gamma 120.00
_space_group_name_H-M_alt 'P -6 2 m'
_space_group_IT_number 189
_space_group_name_Hall 'P -6 -2'
loop_
_atom_site_label
_atom_site_fract_x
_atom_site_fract_y
_atom_site_fract_z
Ce1 0.0000 0.5898 0.0000
Rh1 0.0000 0.0000 0.0000
Rh2 0.3333 0.6667 0.5000
Pb1 0.0000 0.2578 0.5000
```

Structure and calculated X-ray diffraction stick pattern of CsAs4F13 (a PBE-relaxed structure; a wavelength of 1.5418 Å).
Kinematic intensities with the Lorentz-polarization factor, no thermal factor.

Largest 10 diffraction maxima, in order of rising 2θ, 2θ = 10–80°:
index, two_theta, Rel. int.
2 0 0, 18.1, 13
2 1 1, 24.1, 100
0 0 2, 26.0, 15
1 3 0, 28.8, 17
1 3 2, 39.2, 23
4 1 1, 40.2, 10
2 1 3, 44.7, 14
3 3 2, 47.5, 13
2 5 1, 52.0, 17
2 5 3, 65.6, 11

```
data_CsAs4F13
_cell_length_a 9.789
_cell_length_b 9.789
_cell_length_c 6.854
_cell_angle_alpha 90.00
_cell_angle_beta 90.00
_cell_angle_gamma 90.00
_space_group_name_H-M_alt 'I -4'
_space_group_IT_number 82
_space_group_name_Hall 'I -4'
loop_
_atom_site_label
_atom_site_fract_x
_atom_site_fract_y
_atom_site_fract_z
Cs1 0.000 0.000 0.000
As1 0.017 0.306 0.518
F1 0.000 0.500 0.750
F2 0.077 0.168 0.363
F3 0.083 0.647 0.076
F4 0.116 0.241 0.716
```

Structure and calculated X-ray diffraction stick pattern of MgVS2 (a PBE-relaxed structure; a wavelength of 1.5418 Å).
Kinematic intensities with the Lorentz-polarization factor, no thermal factor.

Largest 10 diffraction maxima, in order of rising 2θ, 2θ = 10–80°:
index, two_theta, Rel. int.
0 0 3, 14.3, 26
1 0 1, 29.0, 8
0 1 2, 30.2, 56
0 1 5, 37.6, 100
1 0 7, 44.7, 43
1 1 0, 50.6, 48
1 0 10, 57.6, 13
0 0 12, 59.6, 8
2 0 5, 64.7, 18
0 2 7, 69.8, 10

```
data_MgVS2
_cell_length_a 3.6098
_cell_length_b 3.6098
_cell_length_c 18.6250
_cell_angle_alpha 90.00
_cell_angle_beta 90.00
_cell_angle_gamma 120.00
_space_group_name_H-M_alt 'R 3 m'
_space_group_IT_number 160
_space_group_name_Hall 'R 3 -2"'
loop_
_atom_site_label
_atom_site_fract_x
_atom_site_fract_y
_atom_site_fract_z
Mg1 0.0000 0.0000 0.0000
V1 0.0000 0.0000 0.1664
S1 0.0000 0.0000 0.5808
S2 0.0000 0.0000 0.7594
```

Structure and calculated X-ray diffraction stick pattern of Tb2Pb2O7 (a PBE-relaxed structure; a wavelength of 1.5418 Å).
Kinematic intensities with the Lorentz-polarization factor, no thermal factor.

Largest 10 diffraction maxima, in order of rising 2θ, 2θ = 10–80°:
index, two_theta, Rel. int.
2 0 1, 25.1, 100
2 1 0, 27.0, 60
0 0 4, 27.7, 70
2 1 1, 27.9, 79
2 1 2, 30.4, 51
2 0 3, 31.9, 85
2 1 3, 34.2, 52
3 2 0, 44.2, 37
4 0 0, 49.3, 61
4 0 4, 57.5, 43

```
data_Tb2Pb2O7
_cell_length_a 7.388
_cell_length_b 7.388
_cell_length_c 12.904
_cell_angle_alpha 90.00
_cell_angle_beta 90.00
_cell_angle_gamma 90.00
_space_group_name_H-M_alt 'P 41 21 2'
_space_group_IT_number 92
_space_group_name_Hall 'P 4abw 2nw'
loop_
_atom_site_label
_atom_site_fract_x
_atom_site_fract_y
_atom_site_fract_z
Tb1 0.125 0.357 0.389
Pb1 0.112 0.874 0.098
O1 0.070 0.904 0.911
O2 0.096 0.325 0.575
O3 0.130 0.330 0.212
O4 0.199 0.801 0.250
```

Structure and calculated X-ray diffraction stick pattern of Nd3Cu (a PBE-relaxed structure; a wavelength of 1.5418 Å).
Kinematic intensities with the Lorentz-polarization factor, no thermal factor.

Largest 10 diffraction maxima, in order of rising 2θ, 2θ = 10–80°:
index, two_theta, Rel. int.
0 0 2, 17.5, 2
1 0 1, 20.8, 7
1 1 2, 32.2, 100
0 0 4, 35.4, 19
2 0 0, 38.3, 31
2 0 4, 53.1, 24
2 2 0, 55.3, 11
1 1 6, 61.5, 15
3 1 2, 65.5, 25
2 2 4, 67.4, 12

```
data_Nd3Cu
_cell_length_a 4.697
_cell_length_b 4.697
_cell_length_c 10.147
_cell_angle_alpha 90.00
_cell_angle_beta 90.00
_cell_angle_gamma 90.00
_space_group_name_H-M_alt 'I 4/m m m'
_space_group_IT_number 139
_space_group_name_Hall '-I 4 2'
loop_
_atom_site_label
_atom_site_fract_x
_atom_site_fract_y
_atom_site_fract_z
Nd1 0.000 0.000 0.000
Nd2 0.000 0.500 0.250
Cu1 0.000 0.000 0.500
```